Structure and simulated X-ray powder pattern of Th2CdRuPb (a cell relaxed with PBE; Cu Kα).

Peak list (10 most intense, 2θ from 10° to 90°, sorted by position)
d/Å	Position (°2θ)	intensity	hkl
3.098	28.82	74	1 1 1
3.074	29.05	97	1 1 -2
2.811	31.84	34	2 0 -3
2.750	32.56	28	0 0 3
2.723	32.89	100	2 1 0
2.563	35.01	29	3 0 -2
2.461	36.51	32	1 1 -3
2.122	42.62	46	0 2 0
1.640	56.09	26	1 1 -5
1.479	62.85	28	1 0 5

Crystal structure
abc: 7.8053 4.2431 9.0672
angles: 90.00 114.49 90.00
Sites, in units of the cell vectors:
Th 0.0492 0.2500 0.1917
Th 0.4367 0.7500 0.1430
Th 0.5633 0.2500 0.8570
Th 0.9508 0.7500 0.8083
Cd 0.1162 0.2500 0.6103
Cd 0.8838 0.7500 0.3897
Ru 0.2223 0.2500 0.9552
Ru 0.7777 0.7500 0.0448
Pb 0.3514 0.7500 0.5158
Pb 0.6486 0.2500 0.4842